Starting from a DFT-relaxed cell (PBE+U, Alexandria), the X-ray powder pattern of Ba3Mn2IrO9 was simulated for λ = 1.5418 Å (Cu Kα).

Main lines, low angle first (5° ≤ 2θ ≤ 70°):
2θ (°), d (Å), Rel. int., index
23.9, 3.723, 58, 1 0 4
30.6, 2.919, 100, 1 1 0
33.6, 2.671, 25, 1 0 7
37.2, 2.417, 24, 0 1 8
39.2, 2.297, 33, 0 2 4
48.9, 1.862, 19, 2 0 8
54.5, 1.685, 20, 3 0 0
63.8, 1.459, 19, 2 2 0

Structure:
a = 5.8372 Å, b = 5.8372 Å, c = 22.0201 Å
α = 90.00°, β = 90.00°, γ = 120.00°
Space group R-3m (No. 166, hexagonal axes)
Inequivalent atoms, fractional coordinates:
Ba 0.0000 0.0000 0.0000 x3
Ba 0.0000 0.0000 0.2201 x6
Mn 0.0000 0.0000 0.3779 x6
Ir 0.0000 0.0000 0.5000 x3
O 0.0000 0.5000 0.0000 x9
O 0.0275 0.5138 0.2224 x18



Starting from a DFT-relaxed cell (PBE+U, Alexandria), the X-ray powder pattern of NaFeP2O7 was simulated for λ = 1.5418 Å (Cu Kα).

Main lines, low angle first (5° ≤ 2θ ≤ 70°):
2θ (°), d (Å), Rel. int., index
16.8, 5.265, 80, 0 1 1
21.8, 4.076, 25, 1 1 0
22.4, 3.971, 45, 1 1 -1
26.0, 3.432, 35, 1 0 1
28.2, 3.166, 53, 1 1 1
29.3, 3.048, 100, 1 2 -1
34.0, 2.633, 27, 0 2 2
38.4, 2.346, 23, 2 0 0

Structure:
a = 4.9024 Å, b = 8.2351 Å, c = 7.1566 Å
α = 90.00°, β = 106.89°, γ = 90.00°
Space group P2_1 (No. 4)
Inequivalent atoms, fractional coordinates:
Na 0.2190 0.0000 0.2381 x2
Fe 0.2210 0.4214 0.2357 x2
P 0.2298 0.1572 0.6154 x2
P 0.3842 0.7253 0.9928 x2
O 0.0345 0.6140 0.3244 x2
O 0.1575 0.2616 0.4315 x2
O 0.1569 0.8578 0.9501 x2
O 0.2649 0.5545 0.0013 x2
O 0.4054 0.0075 0.5920 x2
O 0.4187 0.2314 0.1376 x2
O 0.4306 0.2735 0.7838 x2